Computed X-ray powder pattern
Compound: Li5Nb2Co5O12
Radiation: a wavelength of 1.5418 Å
Structure: a GGA+U-relaxed structure

The 10 most intense peaks (2θ from 5° to 70°), by angle:
2θ (°)  I (rel.)
17.98  52
19.27  36
23.49  45
30.84  19
34.45  16
36.39  45
41.71  100
43.57  42
61.76  25
62.03  25

a b c (Å): 5.1431 9.2115 10.0817
angles (deg): 90.00 101.78 90.00
Space group C2 (No. 5)
One atom of each set of equivalent atoms:
Li 0.0000 0.0000 0.0000 x2
Li 0.2503 0.3459 0.7546 x4
Li 0.2503 0.4907 0.2456 x4
Nb 0.0000 0.1734 0.5000 x2
Nb 0.0000 0.6666 0.0000 x2
Co 0.0000 0.3384 0.0000 x2
Co 0.0000 0.5111 0.5000 x2
Co 0.0000 0.8433 0.5000 x2
Co 0.2502 0.1667 0.2487 x4
O 0.1041 0.0146 0.3763 x4
O 0.1146 0.5110 0.8810 x4
O 0.1187 0.3286 0.3782 x4
O 0.1223 0.8242 0.8817 x4
O 0.1286 0.6814 0.3789 x4
O 0.1348 0.1714 0.8802 x4